Diffraction record for CdPd. The X-ray powder pattern is theoretical, not measured: it uses DFT lattice parameters and positions (PBE) and Cu Kα (weighted mean of Kα1 and Kα2).
Kinematic intensities with the Lorentz-polarization factor, no thermal factor.

Peak list (8 most intense, 2θ = 10–90°, most intense first)
| 2theta | intensity |
| --- | --- |
| 37.9 | 100 |
| 41.7 | 38 |
| 73.6 | 27 |
| 65.8 | 19 |
| 48.4 | 12 |
| 60.5 | 12 |
| 81.0 | 10 |
| 83.2 | 10 |

Structure:
```
data_CdPd
_chemical_formula_sum 'Cd1 Pd1'
_symmetry_space_group_name_H-M 'P 1'
_symmetry_Int_Tables_number 1
_symmetry_space_group_name_Hall 'P 1'
_cell_length_a 3.061
_cell_length_b 3.061
_cell_length_c 3.763
_cell_angle_alpha 90.00
_cell_angle_beta 90.00
_cell_angle_gamma 90.00
loop_
_atom_site_label
_atom_site_type_symbol
_atom_site_fract_x
_atom_site_fract_y
_atom_site_fract_z
_atom_site_occupancy
Cd1 Cd 0.000 0.000 0.000 1
Pd1 Pd 0.500 0.500 0.500 1
```

***

Diffraction record for U3Se5. The X-ray powder pattern is theoretical, not measured: it uses DFT lattice parameters and positions (PBE) and Cu Kα (weighted mean of Kα1 and Kα2).
Kinematic intensities with the Lorentz-polarization factor, no thermal factor.

Peak list (10 most intense, 2θ = 10–90°, most intense first)
| 2theta | intensity |
| --- | --- |
| 36.9 | 100 |
| 46.9 | 78 |
| 34.9 | 77 |
| 23.6 | 70 |
| 36.3 | 66 |
| 25.5 | 51 |
| 45.3 | 33 |
| 69.3 | 30 |
| 58.8 | 26 |
| 38.6 | 25 |

Structure:
```
data_U3Se5
_chemical_formula_sum 'U6 Se10'
_symmetry_space_group_name_H-M 'P 1'
_symmetry_Int_Tables_number 1
_symmetry_space_group_name_Hall 'P 1'
_cell_length_a 8.338
_cell_length_b 8.338
_cell_length_c 8.338
_cell_angle_alpha 96.96
_cell_angle_beta 96.96
_cell_angle_gamma 139.25
loop_
_atom_site_label
_atom_site_type_symbol
_atom_site_fract_x
_atom_site_fract_y
_atom_site_fract_z
_atom_site_occupancy
U1 U 0.161 0.661 0.823 1
U2 U 0.250 0.250 0.000 1
U3 U 0.339 0.161 0.500 1
U4 U 0.661 0.839 0.500 1
U5 U 0.750 0.750 0.000 1
U6 U 0.839 0.339 0.177 1
Se1 Se 0.080 0.221 0.302 1
Se2 Se 0.221 0.920 0.141 1
Se3 Se 0.250 0.750 0.500 1
Se4 Se 0.279 0.420 0.698 1
Se5 Se 0.420 0.721 0.141 1
Se6 Se 0.580 0.279 0.859 1
Se7 Se 0.721 0.580 0.302 1
Se8 Se 0.750 0.250 0.500 1
Se9 Se 0.779 0.080 0.859 1
Se10 Se 0.920 0.779 0.698 1
```

***

Diffraction record for Cu2SiHgTe4. The X-ray powder pattern is theoretical, not measured: it uses DFT lattice parameters and positions (PBE) and Cu Kα (weighted mean of Kα1 and Kα2).
Kinematic intensities with the Lorentz-polarization factor, no thermal factor.

Peak list (10 most intense, 2θ = 10–90°, most intense first)
| 2theta | intensity |
| --- | --- |
| 25.2 | 100 |
| 42.0 | 48 |
| 48.9 | 30 |
| 41.2 | 25 |
| 33.2 | 15 |
| 75.6 | 14 |
| 50.2 | 14 |
| 66.9 | 13 |
| 26.6 | 12 |
| 16.1 | 11 |

Structure:
```
data_Cu2SiHgTe4
_chemical_formula_sum 'Cu4 Si2 Hg2 Te8'
_symmetry_space_group_name_H-M 'P 1'
_symmetry_Int_Tables_number 1
_symmetry_space_group_name_Hall 'P 1'
_cell_length_a 6.200
_cell_length_b 6.200
_cell_length_c 11.972
_cell_angle_alpha 90.00
_cell_angle_beta 90.00
_cell_angle_gamma 90.00
loop_
_atom_site_label
_atom_site_type_symbol
_atom_site_fract_x
_atom_site_fract_y
_atom_site_fract_z
_atom_site_occupancy
Cu1 Cu 0.000 0.500 0.250 1
Cu2 Cu 0.000 0.500 0.750 1
Cu3 Cu 0.500 0.000 0.250 1
Cu4 Cu 0.500 0.000 0.750 1
Si1 Si 0.000 0.000 0.000 1
Si2 Si 0.500 0.500 0.500 1
Hg1 Hg 0.000 0.000 0.500 1
Hg2 Hg 0.500 0.500 0.000 1
Te1 Te 0.229 0.229 0.865 1
Te2 Te 0.229 0.771 0.135 1
Te3 Te 0.271 0.271 0.365 1
Te4 Te 0.271 0.729 0.635 1
Te5 Te 0.729 0.271 0.635 1
Te6 Te 0.729 0.729 0.365 1
Te7 Te 0.771 0.229 0.135 1
Te8 Te 0.771 0.771 0.865 1
```

***

Diffraction record for TmMg2. The X-ray powder pattern is theoretical, not measured: it uses DFT lattice parameters and positions (PBE) and Cu Kα (weighted mean of Kα1 and Kα2).
Kinematic intensities with the Lorentz-polarization factor, no thermal factor.

Peak list (10 most intense, 2θ = 10–90°, most intense first)
| 2theta | intensity |
| --- | --- |
| 29.9 | 100 |
| 35.2 | 96 |
| 18.2 | 66 |
| 53.1 | 41 |
| 56.6 | 33 |
| 62.2 | 21 |
| 89.0 | 21 |
| 86.2 | 21 |
| 46.9 | 18 |
| 70.5 | 17 |

Structure:
```
data_TmMg2
_chemical_formula_sum 'Tm2 Mg4'
_symmetry_space_group_name_H-M 'P 1'
_symmetry_Int_Tables_number 1
_symmetry_space_group_name_Hall 'P 1'
_cell_length_a 5.972
_cell_length_b 5.972
_cell_length_c 5.972
_cell_angle_alpha 60.00
_cell_angle_beta 60.00
_cell_angle_gamma 60.00
loop_
_atom_site_label
_atom_site_type_symbol
_atom_site_fract_x
_atom_site_fract_y
_atom_site_fract_z
_atom_site_occupancy
Tm1 Tm 0.125 0.125 0.125 1
Tm2 Tm 0.875 0.875 0.875 1
Mg1 Mg 0.000 0.500 0.500 1
Mg2 Mg 0.500 0.000 0.500 1
Mg3 Mg 0.500 0.500 0.000 1
Mg4 Mg 0.500 0.500 0.500 1
```

***

Diffraction record for SrIn2Pd. The X-ray powder pattern is theoretical, not measured: it uses DFT lattice parameters and positions (PBE) and Cu Kα (weighted mean of Kα1 and Kα2).
Kinematic intensities with the Lorentz-polarization factor, no thermal factor.

Peak list (10 most intense, 2θ = 10–90°, most intense first)
| 2theta | intensity |
| --- | --- |
| 30.7 | 100 |
| 39.8 | 92 |
| 33.2 | 71 |
| 39.1 | 55 |
| 38.6 | 47 |
| 31.2 | 46 |
| 34.6 | 38 |
| 16.2 | 36 |
| 55.2 | 33 |
| 37.4 | 30 |

Structure:
```
data_SrIn2Pd
_chemical_formula_sum 'Sr4 In8 Pd4'
_symmetry_space_group_name_H-M 'P 1'
_symmetry_Int_Tables_number 1
_symmetry_space_group_name_Hall 'P 1'
_cell_length_a 4.607
_cell_length_b 10.970
_cell_length_c 8.018
_cell_angle_alpha 90.00
_cell_angle_beta 90.00
_cell_angle_gamma 90.00
loop_
_atom_site_label
_atom_site_type_symbol
_atom_site_fract_x
_atom_site_fract_y
_atom_site_fract_z
_atom_site_occupancy
Sr1 Sr 0.000 0.061 0.250 1
Sr2 Sr 0.000 0.939 0.750 1
Sr3 Sr 0.500 0.439 0.750 1
Sr4 Sr 0.500 0.561 0.250 1
In1 In 0.000 0.348 0.054 1
In2 In 0.000 0.348 0.446 1
In3 In 0.000 0.652 0.554 1
In4 In 0.000 0.652 0.946 1
In5 In 0.500 0.152 0.554 1
In6 In 0.500 0.152 0.946 1
In7 In 0.500 0.848 0.054 1
In8 In 0.500 0.848 0.446 1
Pd1 Pd 0.000 0.220 0.750 1
Pd2 Pd 0.000 0.780 0.250 1
Pd3 Pd 0.500 0.280 0.250 1
Pd4 Pd 0.500 0.720 0.750 1
```

***

Diffraction record for GdYRh2. The X-ray powder pattern is theoretical, not measured: it uses DFT lattice parameters and positions (PBE) and Cu Kα (weighted mean of Kα1 and Kα2).
Kinematic intensities with the Lorentz-polarization factor, no thermal factor.

Peak list (10 most intense, 2θ = 10–90°, most intense first)
| 2theta | intensity |
| --- | --- |
| 36.8 | 100 |
| 66.2 | 35 |
| 53.0 | 17 |
| 89.7 | 16 |
| 78.2 | 11 |
| 22.3 | 4 |
| 43.4 | 3 |
| 58.1 | 1 |
| 82.5 | 1 |
| 70.8 | 1 |

Structure:
```
data_GdYRh2
_chemical_formula_sum 'Gd4 Y4 Rh8'
_symmetry_space_group_name_H-M 'P 1'
_symmetry_Int_Tables_number 1
_symmetry_space_group_name_Hall 'P 1'
_cell_length_a 6.916
_cell_length_b 6.916
_cell_length_c 6.916
_cell_angle_alpha 90.00
_cell_angle_beta 90.00
_cell_angle_gamma 90.00
loop_
_atom_site_label
_atom_site_type_symbol
_atom_site_fract_x
_atom_site_fract_y
_atom_site_fract_z
_atom_site_occupancy
Gd1 Gd 0.000 0.000 0.000 1
Gd2 Gd 0.000 0.500 0.500 1
Gd3 Gd 0.500 0.000 0.500 1
Gd4 Gd 0.500 0.500 0.000 1
Y1 Y 0.000 0.000 0.500 1
Y2 Y 0.000 0.500 0.000 1
Y3 Y 0.500 0.000 0.000 1
Y4 Y 0.500 0.500 0.500 1
Rh1 Rh 0.250 0.250 0.250 1
Rh2 Rh 0.250 0.250 0.750 1
Rh3 Rh 0.250 0.750 0.250 1
Rh4 Rh 0.250 0.750 0.750 1
Rh5 Rh 0.750 0.250 0.250 1
Rh6 Rh 0.750 0.250 0.750 1
Rh7 Rh 0.750 0.750 0.250 1
Rh8 Rh 0.750 0.750 0.750 1
```

***

Diffraction record for Cs2RbSbBr6. The X-ray powder pattern is theoretical, not measured: it uses DFT lattice parameters and positions (PBE) and Cu Kα (weighted mean of Kα1 and Kα2).
Kinematic intensities with the Lorentz-polarization factor, no thermal factor.

Peak list (10 most intense, 2θ = 10–90°, most intense first)
| 2theta | intensity |
| --- | --- |
| 29.3 | 100 |
| 41.9 | 71 |
| 25.3 | 62 |
| 20.6 | 52 |
| 68.8 | 29 |
| 49.6 | 25 |
| 51.9 | 24 |
| 36.1 | 22 |
| 76.5 | 20 |
| 56.4 | 15 |

Structure:
```
data_Cs2RbSbBr6
_chemical_formula_sum 'Cs2 Rb1 Sb1 Br6'
_symmetry_space_group_name_H-M 'P 1'
_symmetry_Int_Tables_number 1
_symmetry_space_group_name_Hall 'P 1'
_cell_length_a 8.628
_cell_length_b 8.628
_cell_length_c 8.628
_cell_angle_alpha 60.00
_cell_angle_beta 60.00
_cell_angle_gamma 60.00
loop_
_atom_site_label
_atom_site_type_symbol
_atom_site_fract_x
_atom_site_fract_y
_atom_site_fract_z
_atom_site_occupancy
Cs1 Cs 0.250 0.250 0.250 1
Cs2 Cs 0.750 0.750 0.750 1
Rb1 Rb 0.000 0.000 0.000 1
Sb1 Sb 0.500 0.500 0.500 1
Br1 Br 0.269 0.269 0.731 1
Br2 Br 0.269 0.731 0.269 1
Br3 Br 0.269 0.731 0.731 1
Br4 Br 0.731 0.269 0.269 1
Br5 Br 0.731 0.269 0.731 1
Br6 Br 0.731 0.731 0.269 1
```

***

Diffraction record for HfNi3. The X-ray powder pattern is theoretical, not measured: it uses DFT lattice parameters and positions (PBE) and Cu Kα (weighted mean of Kα1 and Kα2).
Kinematic intensities with the Lorentz-polarization factor, no thermal factor.

Peak list (10 most intense, 2θ = 10–90°, most intense first)
| 2theta | intensity |
| --- | --- |
| 45.0 | 100 |
| 28.6 | 36 |
| 42.1 | 27 |
| 39.5 | 24 |
| 86.8 | 19 |
| 79.0 | 18 |
| 71.7 | 15 |
| 59.1 | 14 |
| 34.0 | 14 |
| 88.8 | 13 |

Structure:
```
data_HfNi3
_chemical_formula_sum 'Hf2 Ni6'
_symmetry_space_group_name_H-M 'P 1'
_symmetry_Int_Tables_number 1
_symmetry_space_group_name_Hall 'P 1'
_cell_length_a 5.266
_cell_length_b 5.266
_cell_length_c 4.291
_cell_angle_alpha 90.00
_cell_angle_beta 90.00
_cell_angle_gamma 120.00
loop_
_atom_site_label
_atom_site_type_symbol
_atom_site_fract_x
_atom_site_fract_y
_atom_site_fract_z
_atom_site_occupancy
Hf1 Hf 0.333 0.667 0.250 1
Hf2 Hf 0.667 0.333 0.750 1
Ni1 Ni 0.157 0.314 0.750 1
Ni2 Ni 0.157 0.843 0.750 1
Ni3 Ni 0.314 0.157 0.250 1
Ni4 Ni 0.686 0.843 0.750 1
Ni5 Ni 0.843 0.157 0.250 1
Ni6 Ni 0.843 0.686 0.250 1
```